Entry 1:
Structure and calculated powder X-ray diffraction pattern of Cs2Bi4Se7 (a DFT-relaxed cell (GGA-PBE, the Materials Project); Cu Kα X-rays).
Intensities are scaled so that the largest is 100.

```
data_Cs2Bi4Se7
_space_group_name_H-M_alt 'P 1 21/m 1'
_space_group_IT_number 11
_cell_length_a 13.4519
_cell_length_b 4.2746
_cell_length_c 15.6999
_cell_angle_alpha 90.00
_cell_angle_beta 94.33
_cell_angle_gamma 90.00
loop_
_space_group_symop_operation_xyz
'x,y,z'
'-x,-y,-z'
'-x,y+1/2,-z'
'x,-y+1/2,z'
loop_
_atom_site_label
_atom_site_fract_x
_atom_site_fract_y
_atom_site_fract_z
Cs1 0.0696 0.2500 0.1878
Cs2 0.3232 0.7500 0.3714
Bi1 0.1089 0.7500 0.5709
Bi2 0.2290 0.7500 0.9493
Bi3 0.3318 0.2500 0.7254
Bi4 0.4468 0.2500 0.1193
Se1 0.0408 0.7500 0.3932
Se2 0.0943 0.2500 0.9627
Se3 0.1909 0.7500 0.7599
Se4 0.2586 0.2500 0.5473
Se5 0.2974 0.7500 0.1349
Se6 0.4018 0.2500 0.9171
Se7 0.4865 0.7500 0.7052
```

Largest 12 diffraction maxima, low angle first, 2θ = 5–70°:
d (Å)	2θ (°)	Rel. int.	index
15.655	5.65	15	0 0 1
10.589	8.35	56	1 0 -1
4.278	20.76	26	2 0 -3
3.757	23.68	20	3 0 2
3.482	25.58	12	2 1 1
3.062	29.17	100	3 1 -1
2.999	29.79	54	1 0 5
2.194	41.15	12	6 0 -2
2.156	41.91	27	2 1 -6
2.138	42.28	30	0 2 0
2.130	42.44	42	4 1 4
1.741	52.58	22	1 2 5

=====

Entry 2:
Structure and calculated powder X-ray diffraction pattern of Cs2Bi8Se13 (a DFT-relaxed cell (GGA-PBE, the Materials Project); Cu Kα X-rays).
Intensities are scaled so that the largest is 100.

```
data_Cs2Bi8Se13
_space_group_name_H-M_alt 'P 1 21/m 1'
_space_group_IT_number 11
_cell_length_a 14.1473
_cell_length_b 4.2260
_cell_length_c 25.3880
_cell_angle_alpha 90.00
_cell_angle_beta 96.98
_cell_angle_gamma 90.00
loop_
_space_group_symop_operation_xyz
'x,y,z'
'-x,-y,-z'
'-x,y+1/2,-z'
'x,-y+1/2,z'
loop_
_atom_site_label
_atom_site_fract_x
_atom_site_fract_y
_atom_site_fract_z
Cs1 0.0861 0.2500 0.1202
Cs2 0.2254 0.7500 0.3606
Bi1 0.0646 0.7500 0.7324
Bi2 0.0725 0.2500 0.5632
Bi3 0.2250 0.7500 0.9678
Bi4 0.3039 0.2500 0.8307
Bi5 0.3773 0.7500 0.6913
Bi6 0.3899 0.7500 0.2123
Bi7 0.4473 0.2500 0.5587
Bi8 0.4558 0.2500 0.0688
Se1 0.0100 0.2500 0.3729
Se2 0.0510 0.7500 0.2405
Se3 0.0986 0.2500 0.9782
Se4 0.1091 0.7500 0.4874
Se5 0.1744 0.7500 0.8545
Se6 0.2375 0.2500 0.7207
Se7 0.2720 0.2500 0.2349
Se8 0.3086 0.7500 0.5838
Se9 0.3209 0.7500 0.0872
Se10 0.3958 0.2500 0.9519
Se11 0.4060 0.2500 0.4483
Se12 0.4544 0.7500 0.8188
Se13 0.4833 0.7500 0.3195
```

Largest 12 diffraction maxima, low angle first, 2θ = 5–70°:
d (Å)	2θ (°)	Rel. int.	index
14.043	6.29	16	1 0 0
12.954	6.82	26	1 0 -1
4.224	21.03	26	3 0 2
3.510	25.38	15	0 1 4
3.390	26.29	13	1 0 7
3.104	28.76	100	3 1 -2
2.996	29.82	46	1 0 8
2.286	39.42	17	6 0 -4
2.181	41.41	23	4 1 6
2.132	42.40	29	2 1 -10
2.113	42.80	27	0 2 0
1.727	53.03	17	1 2 8

=====

Entry 3:
Structure and calculated powder X-ray diffraction pattern of CsBi4Te6 (a DFT-relaxed cell (GGA-PBE, the Materials Project); Cu Kα X-rays).
Intensities are scaled so that the largest is 100.

```
data_CsBi4Te6
_space_group_name_H-M_alt 'C 1 m 1'
_space_group_IT_number 8
_cell_length_a 52.4306
_cell_length_b 4.4622
_cell_length_c 14.7079
_cell_angle_alpha 90.00
_cell_angle_beta 100.99
_cell_angle_gamma 90.00
loop_
_space_group_symop_operation_xyz
'x,y,z'
'x,-y,z'
'x+1/2,y+1/2,z'
'x+1/2,-y+1/2,z'
loop_
_atom_site_label
_atom_site_fract_x
_atom_site_fract_y
_atom_site_fract_z
Cs1 0.0000 0.0000 0.0000
Cs2 0.1087 0.0000 0.0197
Cs3 0.2420 0.5000 0.0275
Cs4 0.3675 0.0000 0.9949
Bi1 0.0146 0.0000 0.3753
Bi2 0.0398 0.0000 0.7197
Bi3 0.0698 0.0000 0.3031
Bi4 0.0951 0.0000 0.6474
Bi5 0.1440 0.5000 0.4508
Bi6 0.1698 0.5000 0.7874
Bi7 0.1914 0.0000 0.2629
Bi8 0.2180 0.0000 0.6014
Bi9 0.2673 0.5000 0.4235
Bi10 0.2900 0.5000 0.7682
Bi11 0.3196 0.0000 0.2533
Bi12 0.3418 0.0000 0.5975
Bi13 0.3912 0.5000 0.4205
Bi14 0.4183 0.5000 0.7589
Bi15 0.4400 0.0000 0.2358
Bi16 0.4655 0.0000 0.5719
Te1 0.0216 0.5000 0.5482
Te2 0.0473 0.5000 0.8639
Te3 0.0618 0.5000 0.1590
Te4 0.0880 0.5000 0.4750
Te5 0.1126 0.5000 0.7889
Te6 0.1357 0.0000 0.3008
Te7 0.1597 0.0000 0.6116
Te8 0.1781 0.0000 0.9288
Te9 0.1780 0.5000 0.1237
Te10 0.2089 0.5000 0.4394
Te11 0.2304 0.5000 0.7500
Te12 0.2577 0.0000 0.2720
Te13 0.2794 0.0000 0.5865
Te14 0.2940 0.0000 0.9088
Te15 0.3155 0.5000 0.1127
Te16 0.3296 0.5000 0.4343
Te17 0.3516 0.5000 0.7489
Te18 0.3791 0.0000 0.2718
Te19 0.4004 0.0000 0.5825
Te20 0.4314 0.0000 0.8982
Te21 0.4314 0.5000 0.0944
Te22 0.4495 0.5000 0.4115
Te23 0.4740 0.5000 0.7220
Te24 0.4971 0.0000 0.2337
```

Largest 12 diffraction maxima, low angle first, 2θ = 5–70°:
d (Å)	2θ (°)	Rel. int.	index
14.438	6.12	40	0 0 1
4.404	20.16	10	8 0 2
3.293	27.08	11	1 1 -3
3.275	27.23	58	16 0 -1
3.239	27.54	100	1 1 3
3.141	28.42	10	3 1 3
2.406	37.38	16	0 0 6
2.351	38.29	39	15 1 -4
2.259	39.91	34	17 1 2
2.231	40.43	30	0 2 0
1.844	49.43	23	16 2 -1
1.418	65.84	11	1 3 3

=====

Entry 4:
Structure and calculated powder X-ray diffraction pattern of CsBi4Te6 (a DFT-relaxed cell (GGA-PBE, the Materials Project); Cu Kα X-rays).
Intensities are scaled so that the largest is 100.

```
data_CsBi4Te6
_space_group_name_H-M_alt 'P 1'
_space_group_IT_number 1
_cell_length_a 4.4598
_cell_length_b 14.6310
_cell_length_c 26.3976
_cell_angle_alpha 101.11
_cell_angle_beta 94.81
_cell_angle_gamma 90.07
loop_
_space_group_symop_operation_xyz
'x,y,z'
loop_
_atom_site_label
_atom_site_fract_x
_atom_site_fract_y
_atom_site_fract_z
Cs1 0.0000 0.0000 0.0000
Cs2 0.1166 0.0184 0.2168
Cs3 0.3738 0.9911 0.7329
Cs4 0.7424 0.0241 0.4821
Bi1 0.0152 0.3702 0.0272
Bi2 0.0455 0.7178 0.0777
Bi3 0.0713 0.2971 0.1370
Bi4 0.0996 0.6450 0.1874
Bi5 0.1854 0.2578 0.3798
Bi6 0.2125 0.6000 0.4341
Bi7 0.3183 0.2482 0.6365
Bi8 0.3402 0.5968 0.6827
Bi9 0.4381 0.2294 0.8773
Bi10 0.4636 0.5698 0.9296
Bi11 0.6493 0.4448 0.2853
Bi12 0.6729 0.7848 0.3369
Bi13 0.7601 0.4199 0.5330
Bi14 0.7901 0.7679 0.5783
Bi15 0.8904 0.4158 0.7818
Bi16 0.9205 0.7583 0.8346
Te1 0.1384 0.2945 0.2689
Te2 0.1617 0.6069 0.3176
Te3 0.1813 0.9269 0.3551
Te4 0.2522 0.2677 0.5130
Te5 0.2796 0.5843 0.5579
Te6 0.2948 0.9090 0.5862
Te7 0.3773 0.2667 0.7560
Te8 0.4022 0.5793 0.8000
Te9 0.4337 0.8980 0.8612
Te10 0.4950 0.2282 0.9918
Te11 0.5205 0.5447 0.0419
Te12 0.5513 0.8630 0.0935
Te13 0.5624 0.1516 0.1225
Te14 0.5892 0.4693 0.1731
Te15 0.6164 0.7869 0.2226
Te16 0.6730 0.1177 0.3539
Te17 0.7037 0.4366 0.4156
Te18 0.7268 0.7492 0.4589
Te19 0.8138 0.1070 0.6287
Te20 0.8276 0.4327 0.6581
Te21 0.8523 0.7494 0.7021
Te22 0.9291 0.0875 0.8599
Te23 0.9467 0.4074 0.8981
Te24 0.9721 0.7204 0.9454
```

Largest 12 diffraction maxima, low angle first, 2θ = 5–70°:
d (Å)	2θ (°)	Rel. int.	index
14.355	6.16	55	0 1 0
4.394	20.21	15	0 2 4
4.258	20.86	14	0 3 -4
3.286	27.13	100	0 1 -8
3.231	27.60	82	-1 3 1
3.228	27.64	73	1 3 0
2.408	37.35	12	1 1 8
2.350	38.30	51	1 4 -8
2.259	39.90	51	-1 2 9
2.230	40.45	47	2 0 -1
1.845	49.39	37	2 1 -9
1.417	65.92	14	-3 3 2

=====

Entry 5:
Structure and calculated powder X-ray diffraction pattern of Sr2ErCu2Bi2O8 (a DFT-relaxed cell (GGA-PBE, the Materials Project); Cu Kα X-rays).
Intensities are scaled so that the largest is 100.

```
data_Sr2ErCu2Bi2O8
_space_group_name_H-M_alt 'I 4/m m m'
_space_group_IT_number 139
_space_group_name_Hall '-I 4 2'
_cell_length_a 3.7804
_cell_length_b 3.7804
_cell_length_c 30.4547
_cell_angle_alpha 90.00
_cell_angle_beta 90.00
_cell_angle_gamma 90.00
loop_
_atom_site_label
_atom_site_fract_x
_atom_site_fract_y
_atom_site_fract_z
Sr1 0.0000 0.0000 0.1146
Er1 0.0000 0.0000 0.0000
Cu1 0.0000 0.0000 0.4478
Bi1 0.0000 0.0000 0.2956
O1 0.0000 0.0000 0.2025
O2 0.0000 0.0000 0.3655
O3 0.0000 0.5000 0.0478
```

Largest 12 diffraction maxima, low angle first, 2θ = 5–70°:
d (Å)	2θ (°)	Rel. int.	index
7.614	11.62	25	0 0 4
3.543	25.14	40	1 0 3
3.212	27.77	40	1 0 5
3.045	29.33	17	0 0 10
2.854	31.35	100	1 0 7
2.673	33.52	85	1 1 0
2.538	35.37	15	0 0 12
2.522	35.60	17	1 0 9
2.009	45.13	35	1 1 10
1.890	48.14	40	2 0 0
1.619	56.88	19	1 0 17
1.576	58.58	36	2 1 7

=====

Entry 6:
Structure and calculated powder X-ray diffraction pattern of EuCuBi (a DFT-relaxed cell (GGA-PBE, the Materials Project); Cu Kα X-rays).
Intensities are scaled so that the largest is 100.

```
data_EuCuBi
_space_group_name_H-M_alt 'P 63/m m c'
_space_group_IT_number 194
_space_group_name_Hall '-P 6c 2c'
_cell_length_a 4.6681
_cell_length_b 4.6681
_cell_length_c 8.5873
_cell_angle_alpha 90.00
_cell_angle_beta 90.00
_cell_angle_gamma 120.00
loop_
_atom_site_label
_atom_site_fract_x
_atom_site_fract_y
_atom_site_fract_z
Eu1 0.0000 0.0000 0.0000
Cu1 0.3333 0.6667 0.2500
Bi1 0.3333 0.6667 0.7500
```

Largest 12 diffraction maxima, low angle first, 2θ = 5–70°:
d (Å)	2θ (°)	Rel. int.	index
4.294	20.69	8	0 0 2
3.658	24.34	28	1 0 1
2.943	30.37	100	1 0 2
2.334	38.57	67	1 1 0
2.147	42.09	15	0 0 4
2.051	44.17	7	1 1 2
1.968	46.14	6	2 0 1
1.829	49.86	25	2 0 2
1.580	58.40	37	1 1 4
1.504	61.66	5	2 1 1
1.440	64.76	23	2 1 2
1.348	69.75	23	3 0 0

=====

Entry 7:
Structure and calculated powder X-ray diffraction pattern of Na2CuBiF6 (a DFT-relaxed cell (GGA-PBE, the Materials Project); Cu Kα X-rays).
Intensities are scaled so that the largest is 100.

```
data_Na2CuBiF6
_space_group_name_H-M_alt 'F m -3 m'
_space_group_IT_number 225
_space_group_name_Hall '-F 4 2 3'
_cell_length_a 8.8557
_cell_length_b 8.8557
_cell_length_c 8.8557
_cell_angle_alpha 90.00
_cell_angle_beta 90.00
_cell_angle_gamma 90.00
loop_
_atom_site_label
_atom_site_fract_x
_atom_site_fract_y
_atom_site_fract_z
Na1 0.2500 0.2500 0.2500
Cu1 0.0000 0.0000 0.0000
Bi1 0.0000 0.0000 0.5000
F1 0.0000 0.0000 0.2435
```

Largest 12 diffraction maxima, low angle first, 2θ = 5–70°:
d (Å)	2θ (°)	Rel. int.	index
5.113	17.34	43	1 1 1
4.428	20.05	100	2 0 0
3.131	28.51	97	2 2 0
2.670	33.56	30	3 1 1
2.214	40.76	44	4 0 0
2.032	44.60	16	3 3 1
1.980	45.82	46	4 2 0
1.808	50.49	41	4 2 2
1.565	59.00	27	4 4 0
1.497	62.00	11	5 3 1
1.476	62.98	22	6 0 0
1.400	66.81	18	6 2 0

=====

Entry 8:
Structure and calculated powder X-ray diffraction pattern of Rb2CuBiF6 (a DFT-relaxed cell (GGA-PBE, the Materials Project); Cu Kα X-rays).
Intensities are scaled so that the largest is 100.

```
data_Rb2CuBiF6
_space_group_name_H-M_alt 'F m -3 m'
_space_group_IT_number 225
_space_group_name_Hall '-F 4 2 3'
_cell_length_a 9.0467
_cell_length_b 9.0467
_cell_length_c 9.0467
_cell_angle_alpha 90.00
_cell_angle_beta 90.00
_cell_angle_gamma 90.00
loop_
_atom_site_label
_atom_site_fract_x
_atom_site_fract_y
_atom_site_fract_z
Rb1 0.2500 0.2500 0.2500
Cu1 0.0000 0.0000 0.0000
Bi1 0.0000 0.0000 0.5000
F1 0.0000 0.0000 0.2466
```

Largest 12 diffraction maxima, low angle first, 2θ = 5–70°:
d (Å)	2θ (°)	Rel. int.	index
5.223	16.98	22	1 1 1
4.523	19.63	14	2 0 0
3.198	27.89	100	2 2 0
2.728	32.83	15	3 1 1
2.262	39.86	37	4 0 0
2.075	43.61	7	3 3 1
2.023	44.80	7	4 2 0
1.847	49.35	43	4 2 2
1.741	52.56	5	3 3 3
1.599	57.64	24	4 4 0
1.529	60.55	6	5 3 1
1.430	65.22	19	6 2 0